Starting from a cell relaxed with GGA-PBE, the PXRD pattern of HfTi5Si2 was computed for CuKα.

Structure:
a = 3.2955 Å, b = 8.3264 Å, c = 9.8043 Å
α = 90.00°, β = 90.00°, γ = 90.00°
Space group Immm (No. 71)
Unique sites:
Hf: 0.0000 0.0000 0.0000 x2
Ti: 0.0000 0.2066 0.3592 x8
Ti: 0.0000 0.5000 0.0000 x2
Si: 0.0000 0.5000 0.2666 x4

Peak list (10 most intense, 2θ = 10–80°, low angle first)
d/Å	Rel. int.
6.347	442
4.902	208
3.173	369
2.671	290
2.598	331
2.499	1000
2.321	654
2.112	529
1.948	211
1.550	216

Starting from a cell relaxed with GGA-PBE, the PXRD pattern of Cs2AgAu2 was computed for CuKα.

Structure:
a = 10.2275 Å, b = 10.2275 Å, c = 3.8452 Å
α = 90.00°, β = 90.00°, γ = 90.00°
Space group P4/mbm (No. 127)
Unique sites:
Cs: 0.1432 0.3568 0.0000 x4
Ag: 0.0000 0.0000 0.0000 x2
Au: 0.1557 0.6557 0.5000 x4

Peak list (10 most intense, 2θ = 10–80°, low angle first)
d/Å	Rel. int.
7.232	98
3.234	574
3.073	91
2.943	1000
2.557	110
2.411	131
2.285	139
2.084	153
1.703	377
1.653	161

Starting from a cell relaxed with GGA-PBE, the PXRD pattern of Ac3SnIr2 was computed for CuKα.

Structure:
a = 8.2413 Å, b = 8.2413 Å, c = 19.3175 Å
α = 90.00°, β = 90.00°, γ = 120.00°
Space group R-3c (No. 167, hexagonal axes)
Unique sites:
Ac: 0.0000 0.2866 0.2500 x18
Sn: 0.0000 0.0000 0.0000 x6
Ir: 0.0000 0.0000 0.1469 x12

Peak list (10 most intense, 2θ = 10–80°, low angle first)
d/Å	Rel. int.
4.121	113
3.471	1000
2.870	155
2.672	150
2.537	774
2.379	666
2.355	122
1.904	193
1.735	228
1.402	140

Starting from a cell relaxed with GGA-PBE, the PXRD pattern of LiMnPb was computed for CuKα.

Structure:
a = 4.6427 Å, b = 4.6427 Å, c = 3.1445 Å
α = 90.00°, β = 90.00°, γ = 120.00°
Space group P3m1 (No. 156)
Unique sites:
Li: 0.0000 0.0000 0.0000 x1
Mn: 0.6667 0.3333 0.3771 x1
Pb: 0.3333 0.6667 0.7158 x1

Peak list (10 most intense, 2θ = 10–80°, low angle first)
d/Å	Rel. int.
4.021	1000
3.144	183
2.477	945
2.321	538
2.010	164
1.868	261
1.694	302
1.520	137
1.464	186
1.368	300